(1)
Starting from DFT lattice parameters and positions (PBE), the X-ray powder pattern of CdAu was simulated for Cu Kα (weighted mean of Kα1 and Kα2).

Structural model:
a b c (Å): 5.426 5.426 5.426
angles (deg): 90.00 90.00 90.00
Element x y z (fractional)
1 Cd 0.096 0.096 0.096
2 Cd 0.404 0.904 0.596
3 Cd 0.596 0.404 0.904
4 Cd 0.904 0.596 0.404
5 Au 0.097 0.597 0.903
6 Au 0.403 0.403 0.403
7 Au 0.597 0.903 0.097
8 Au 0.903 0.097 0.597

Largest 6 diffraction maxima, in order of rising 2θ, 2θ from 10° to 90°:
2θ = 28.49°, d = 3.133 Å, I 12; 2θ = 33.02°, d = 2.713 Å, I 14; 2θ = 37.05°, d = 2.426 Å, I 100; 2θ = 40.73°, d = 2.215 Å, I 49; 2θ = 64.23°, d = 1.450 Å, I 37; 2θ = 81.25°, d = 1.184 Å, I 13

***

(2)
Starting from DFT lattice parameters and positions (PBE), the X-ray powder pattern of TlZn4Pd15 was simulated for Cu Kα (weighted mean of Kα1 and Kα2).

Structural model:
a b c (Å): 3.977 3.977 19.478
angles (deg): 90.00 90.00 90.00
Element x y z (fractional)
1 Tl 0.000 0.000 0.000
2 Zn 0.000 0.000 0.206
3 Zn 0.000 0.000 0.402
4 Zn 0.000 0.000 0.598
5 Zn 0.000 0.000 0.794
6 Pd 0.000 0.500 0.109
7 Pd 0.000 0.500 0.305
8 Pd 0.000 0.500 0.500
9 Pd 0.000 0.500 0.695
10 Pd 0.000 0.500 0.891
11 Pd 0.500 0.000 0.109
12 Pd 0.500 0.000 0.305
13 Pd 0.500 0.000 0.500
14 Pd 0.500 0.000 0.695
15 Pd 0.500 0.000 0.891
16 Pd 0.500 0.500 0.000
17 Pd 0.500 0.500 0.207
18 Pd 0.500 0.500 0.402
19 Pd 0.500 0.500 0.598
20 Pd 0.500 0.500 0.793

Largest 6 diffraction maxima, in order of rising 2θ, 2θ from 10° to 90°:
2θ = 39.53°, d = 2.280 Å, I 100; 2θ = 45.63°, d = 1.988 Å, I 34; 2θ = 46.63°, d = 1.948 Å, I 14; 2θ = 66.50°, d = 1.406 Å, I 11; 2θ = 67.29°, d = 1.391 Å, I 18; 2θ = 80.21°, d = 1.197 Å, I 24

***

(3)
Starting from DFT lattice parameters and positions (PBE), the X-ray powder pattern of La2Dy4Er3 was simulated for Cu Kα (weighted mean of Kα1 and Kα2).

Structural model:
a b c (Å): 3.597 3.597 26.428
angles (deg): 90.00 90.00 120.00
Element x y z (fractional)
1 La 0.000 0.000 0.000
2 La 0.000 0.000 0.223
3 Dy 0.000 0.000 0.357
4 Dy 0.000 0.000 0.567
5 Dy 0.333 0.667 0.674
6 Dy 0.333 0.667 0.886
7 Er 0.000 0.000 0.781
8 Er 0.333 0.667 0.114
9 Er 0.333 0.667 0.461

Largest 6 diffraction maxima, in order of rising 2θ, 2θ from 10° to 90°:
2θ = 28.66°, d = 3.115 Å, I 41; 2θ = 30.44°, d = 2.937 Å, I 46; 2θ = 31.76°, d = 2.818 Å, I 48; 2θ = 33.39°, d = 2.684 Å, I 100; 2θ = 50.76°, d = 1.799 Å, I 35; 2θ = 60.35°, d = 1.534 Å, I 36

***

(4)
Starting from DFT lattice parameters and positions (PBE), the X-ray powder pattern of Sr2TlO2F2 was simulated for Cu Kα (weighted mean of Kα1 and Kα2).

Structural model:
a b c (Å): 4.559 4.559 13.244
angles (deg): 90.00 90.00 90.00
Element x y z (fractional)
1 Sr 0.000 0.000 0.122
2 Sr 0.000 0.000 0.878
3 Sr 0.500 0.500 0.378
4 Sr 0.500 0.500 0.622
5 Tl 0.000 0.000 0.500
6 Tl 0.500 0.500 0.000
7 O 0.000 0.500 0.000
8 O 0.000 0.500 0.500
9 O 0.500 0.000 0.000
10 O 0.500 0.000 0.500
11 F 0.000 0.000 0.296
12 F 0.000 0.000 0.704
13 F 0.500 0.500 0.204
14 F 0.500 0.500 0.796

Largest 6 diffraction maxima, in order of rising 2θ, 2θ from 10° to 90°:
2θ = 13.37°, d = 6.622 Å, I 74; 2θ = 27.67°, d = 3.224 Å, I 93; 2θ = 28.14°, d = 3.171 Å, I 100; 2θ = 39.34°, d = 2.290 Å, I 70; 2θ = 39.53°, d = 2.280 Å, I 49; 2θ = 57.00°, d = 1.616 Å, I 46

***

(5)
Starting from DFT lattice parameters and positions (PBE), the X-ray powder pattern of LaPr3Nd4 was simulated for Cu Kα (weighted mean of Kα1 and Kα2).

Structural model:
a b c (Å): 10.504 7.392 7.398
angles (deg): 90.00 90.00 90.00
Element x y z (fractional)
1 La 0.000 0.000 0.000
2 La 0.500 0.000 0.500
3 Pr 0.000 0.500 0.500
4 Pr 0.250 0.250 0.250
5 Pr 0.250 0.750 0.750
6 Pr 0.500 0.500 0.000
7 Pr 0.750 0.250 0.250
8 Pr 0.750 0.750 0.750
9 Nd 0.000 0.000 0.500
10 Nd 0.000 0.500 0.000
11 Nd 0.250 0.250 0.750
12 Nd 0.250 0.750 0.250
13 Nd 0.500 0.000 0.000
14 Nd 0.500 0.500 0.500
15 Nd 0.750 0.250 0.750
16 Nd 0.750 0.750 0.250

Largest 6 diffraction maxima, in order of rising 2θ, 2θ from 10° to 90°:
2θ = 29.55°, d = 3.023 Å, I 100; 2θ = 34.14°, d = 2.626 Å, I 17; 2θ = 34.30°, d = 2.614 Å, I 34; 2θ = 49.20°, d = 1.852 Å, I 30; 2θ = 58.32°, d = 1.582 Å, I 15; 2θ = 58.52°, d = 1.577 Å, I 29

***

(6)
Starting from DFT lattice parameters and positions (PBE), the X-ray powder pattern of ScGa4Co4 was simulated for Cu Kα (weighted mean of Kα1 and Kα2).

Structural model:
a b c (Å): 5.407 5.407 8.700
angles (deg): 90.00 90.00 90.00
Element x y z (fractional)
1 Sc 0.250 0.750 0.250
2 Sc 0.750 0.250 0.750
3 Ga 0.019 0.250 0.043
4 Ga 0.250 0.019 0.543
5 Ga 0.250 0.481 0.543
6 Ga 0.481 0.250 0.043
7 Ga 0.519 0.750 0.957
8 Ga 0.750 0.519 0.457
9 Ga 0.750 0.981 0.457
10 Ga 0.981 0.750 0.957
11 Co 0.037 0.250 0.327
12 Co 0.250 0.037 0.827
13 Co 0.250 0.463 0.827
14 Co 0.463 0.250 0.327
15 Co 0.537 0.750 0.673
16 Co 0.750 0.537 0.173
17 Co 0.750 0.963 0.173
18 Co 0.963 0.750 0.673

Largest 6 diffraction maxima, in order of rising 2θ, 2θ from 10° to 90°:
2θ = 19.33°, d = 4.592 Å, I 29; 2θ = 34.75°, d = 2.582 Å, I 35; 2θ = 38.65°, d = 2.330 Å, I 79; 2θ = 44.92°, d = 2.018 Å, I 48; 2θ = 45.89°, d = 1.977 Å, I 100; 2θ = 47.57°, d = 1.912 Å, I 52

***

(7)
Starting from DFT lattice parameters and positions (PBE), the X-ray powder pattern of CsAcAgBr5 was simulated for Cu Kα (weighted mean of Kα1 and Kα2).

Structural model:
a b c (Å): 8.431 8.431 11.376
angles (deg): 102.54 102.54 108.26
Element x y z (fractional)
1 Cs 0.151 0.849 0.750
2 Cs 0.849 0.151 0.250
3 Ac 0.500 0.500 0.000
4 Ac 0.500 0.500 0.500
5 Ag 0.187 0.813 0.250
6 Ag 0.813 0.187 0.750
7 Br 0.122 0.250 0.931
8 Br 0.190 0.596 0.396
9 Br 0.250 0.122 0.431
10 Br 0.404 0.810 0.104
11 Br 0.418 0.582 0.750
12 Br 0.582 0.418 0.250
13 Br 0.596 0.190 0.896
14 Br 0.750 0.878 0.569
15 Br 0.810 0.404 0.604
16 Br 0.878 0.750 0.069

Largest 6 diffraction maxima, in order of rising 2θ, 2θ from 10° to 90°:
2θ = 17.23°, d = 5.146 Å, I 100; 2θ = 19.34°, d = 4.589 Å, I 60; 2θ = 21.26°, d = 4.179 Å, I 49; 2θ = 21.78°, d = 4.080 Å, I 44; 2θ = 24.65°, d = 3.611 Å, I 42; 2θ = 35.34°, d = 2.540 Å, I 38

***

(8)
Starting from DFT lattice parameters and positions (PBE), the X-ray powder pattern of Tb3Dy3Y8 was simulated for Cu Kα (weighted mean of Kα1 and Kα2).

Structural model:
a b c (Å): 9.647 9.647 9.647
angles (deg): 146.00 112.06 78.20
Element x y z (fractional)
1 Tb 0.000 0.000 0.000
2 Tb 0.299 0.000 0.299
3 Tb 0.701 0.000 0.701
4 Dy 0.319 0.819 0.500
5 Dy 0.500 0.500 0.000
6 Dy 0.681 0.181 0.500
7 Y 0.055 0.396 0.659
8 Y 0.064 0.222 0.842
9 Y 0.262 0.604 0.659
10 Y 0.380 0.222 0.158
11 Y 0.620 0.778 0.842
12 Y 0.738 0.396 0.341
13 Y 0.936 0.778 0.158
14 Y 0.945 0.604 0.341

Largest 6 diffraction maxima, in order of rising 2θ, 2θ from 10° to 90°:
2θ = 29.07°, d = 3.072 Å, I 26; 2θ = 29.82°, d = 2.996 Å, I 29; 2θ = 30.65°, d = 2.917 Å, I 29; 2θ = 31.72°, d = 2.821 Å, I 49; 2θ = 31.85°, d = 2.810 Å, I 100; 2θ = 33.89°, d = 2.645 Å, I 44